(1)
# CaAcGeIr
Simulated powder X-ray diffraction pattern, Cu Kα (weighted mean of Kα1 and Kα2). Input: a crystal structure in Alexandria, relaxed with GGA-PBE.
Neutral-atom scattering factors, no anomalous dispersion.

Atomic structure:
a b c (Å): 8.1360 8.1360 8.1360
angles (deg): 30.95 30.95 30.95
Positions (direct):
Ca (0.0000, 0.0000, 0.0000)
Ac (0.8336, 0.8336, 0.8336)
Ge (0.5923, 0.5923, 0.5923)
Ir (0.2449, 0.2449, 0.2449)

Principal peaks in the range 2θ = 15–90°, by intensity:
d = 2.922 Å, 30.59°, I 100
d = 2.171 Å, 41.61°, I 62
d = 3.577 Å, 24.89°, I 53
d = 2.090 Å, 43.29°, I 42
d = 2.487 Å, 36.11°, I 41
d = 3.156 Å, 28.28°, I 34
d = 1.444 Å, 64.51°, I 30
d = 2.298 Å, 39.21°, I 30
d = 1.743 Å, 52.52°, I 22
d = 1.359 Å, 69.13°, I 20


(2)
# LiEr3Th4S8
Simulated powder X-ray diffraction pattern, Cu Kα (weighted mean of Kα1 and Kα2). Input: a crystal structure in Alexandria, relaxed with GGA-PBE.
Neutral-atom scattering factors, no anomalous dispersion.

Atomic structure:
a b c (Å): 8.1047 8.1047 8.1047
angles (deg): 56.60 56.60 56.60
Positions (direct):
Li (0.0000, 0.0000, 0.0000)
Er (0.0000, 0.5000, 0.5000)
Er (0.5000, 0.0000, 0.5000)
Er (0.5000, 0.5000, 0.0000)
Th (0.0000, 0.0000, 0.5000)
Th (0.0000, 0.5000, 0.0000)
Th (0.5000, 0.0000, 0.0000)
Th (0.5000, 0.5000, 0.5000)
S (0.2384, 0.2384, 0.7481)
S (0.2384, 0.7481, 0.2384)
S (0.2519, 0.7616, 0.7616)
S (0.2565, 0.2565, 0.2565)
S (0.7435, 0.7435, 0.7435)
S (0.7481, 0.2384, 0.2384)
S (0.7616, 0.2519, 0.7616)
S (0.7616, 0.7616, 0.2519)

Principal peaks in the range 2θ = 15–90°, by intensity:
d = 2.785 Å, 32.15°, I 100
d = 3.162 Å, 28.22°, I 64
d = 2.021 Å, 44.85°, I 39
d = 1.921 Å, 47.32°, I 34
d = 3.391 Å, 26.28°, I 26
d = 1.671 Å, 54.93°, I 22
d = 1.581 Å, 58.36°, I 19
d = 1.271 Å, 74.66°, I 17
d = 1.221 Å, 78.31°, I 16
d = 1.736 Å, 52.73°, I 13


(3)
# La8TcNi3I4
Simulated powder X-ray diffraction pattern, Cu Kα (weighted mean of Kα1 and Kα2). Input: a crystal structure in Alexandria, relaxed with GGA-PBE.
Neutral-atom scattering factors, no anomalous dispersion.

Atomic structure:
a b c (Å): 8.3982 8.3982 9.5972
angles (deg): 115.96 115.96 60.00
Positions (direct):
La (0.2262, 0.2262, 0.6880)
La (0.2264, 0.7345, 0.6870)
La (0.2655, 0.7736, 0.3130)
La (0.2732, 0.2732, 0.3207)
La (0.7268, 0.7268, 0.6793)
La (0.7345, 0.2264, 0.6870)
La (0.7736, 0.2655, 0.3130)
La (0.7738, 0.7738, 0.3120)
Tc (0.0000, 0.0000, 0.5000)
Ni (0.0000, 0.5000, 0.5000)
Ni (0.5000, 0.0000, 0.5000)
Ni (0.5000, 0.5000, 0.5000)
I (0.0000, 0.0000, 0.0000)
I (0.0000, 0.5000, 0.0000)
I (0.5000, 0.0000, 0.0000)
I (0.5000, 0.5000, 0.0000)

Principal peaks in the range 2θ = 15–90°, by intensity:
d = 3.138 Å, 28.44°, I 100
d = 2.100 Å, 43.08°, I 38
d = 2.361 Å, 38.11°, I 26
d = 2.934 Å, 30.46°, I 22
d = 1.745 Å, 52.44°, I 18
d = 1.671 Å, 54.95°, I 16
d = 1.342 Å, 70.12°, I 15
d = 2.760 Å, 32.44°, I 12
d = 1.692 Å, 54.22°, I 9
d = 2.540 Å, 35.34°, I 9


(4)
# La2Tm2Sc
Simulated powder X-ray diffraction pattern, Cu Kα (weighted mean of Kα1 and Kα2). Input: a crystal structure in Alexandria, relaxed with GGA-PBE.
Neutral-atom scattering factors, no anomalous dispersion.

Atomic structure:
a b c (Å): 6.4914 6.4914 8.7813
angles (deg): 93.23 93.23 120.20
Positions (direct):
La (0.0503, 0.6928, 0.6599)
La (0.3072, 0.9497, 0.3401)
La (0.6928, 0.0503, 0.6599)
La (0.9497, 0.3072, 0.3401)
Tm (0.2382, 0.2382, 0.0330)
Tm (0.3648, 0.3648, 0.6690)
Tm (0.6352, 0.6352, 0.3310)
Tm (0.7618, 0.7618, 0.9670)
Sc (0.2724, 0.7276, 0.0000)
Sc (0.7276, 0.2724, 0.0000)

Principal peaks in the range 2θ = 15–90°, by intensity:
d = 2.910 Å, 30.73°, I 100
d = 2.675 Å, 33.49°, I 75
d = 2.983 Å, 29.96°, I 62
d = 2.740 Å, 32.68°, I 41
d = 1.575 Å, 58.60°, I 31
d = 3.240 Å, 27.53°, I 30
d = 1.859 Å, 49.00°, I 28
d = 4.729 Å, 18.76°, I 18
d = 2.105 Å, 42.96°, I 16
d = 3.134 Å, 28.48°, I 16


(5)
# LaTiAlGe2
Simulated powder X-ray diffraction pattern, Cu Kα (weighted mean of Kα1 and Kα2). Input: a crystal structure in Alexandria, relaxed with GGA-PBE.
Neutral-atom scattering factors, no anomalous dispersion.

Atomic structure:
a b c (Å): 6.7063 6.7063 6.7063
angles (deg): 144.27 144.27 51.43
Positions (direct):
La (0.0000, 0.0000, 0.0000)
Ti (0.2500, 0.7500, 0.5000)
Al (0.7500, 0.2500, 0.5000)
Ge (0.3861, 0.3861, 0.0000)
Ge (0.6139, 0.6139, 0.0000)

Principal peaks in the range 2θ = 15–90°, by intensity:
d = 2.879 Å, 31.07°, I 100
d = 2.622 Å, 34.20°, I 86
d = 2.084 Å, 43.42°, I 62
d = 2.058 Å, 44.01°, I 51
d = 2.910 Å, 30.73°, I 48
d = 1.674 Å, 54.85°, I 40
d = 1.464 Å, 63.54°, I 39
d = 1.272 Å, 74.60°, I 17
d = 1.455 Å, 63.99°, I 16
d = 1.218 Å, 78.56°, I 16


(6)
# Al2O3
Simulated powder X-ray diffraction pattern, Cu Kα (weighted mean of Kα1 and Kα2). Input: a crystal structure in Alexandria, relaxed with GGA-PBE.
Neutral-atom scattering factors, no anomalous dispersion.

Atomic structure:
a b c (Å): 4.8446 4.8446 9.0802
angles (deg): 90.00 90.00 120.00
Positions (direct):
Al (0.0000, 0.0000, 0.0000)
Al (0.0000, 0.0000, 0.5000)
Al (0.3333, 0.6667, 0.0373)
Al (0.3333, 0.6667, 0.4627)
Al (0.3333, 0.6667, 0.7500)
Al (0.6667, 0.3333, 0.2500)
Al (0.6667, 0.3333, 0.5373)
Al (0.6667, 0.3333, 0.9627)
O (0.0316, 0.3551, 0.8880)
O (0.0316, 0.6765, 0.6120)
O (0.3235, 0.3551, 0.6120)
O (0.3235, 0.9684, 0.8880)
O (0.3551, 0.0316, 0.3880)
O (0.3551, 0.3235, 0.1120)
O (0.6449, 0.6765, 0.8880)
O (0.6449, 0.9684, 0.6120)
O (0.6765, 0.0316, 0.1120)
O (0.6765, 0.6449, 0.3880)
O (0.9684, 0.3235, 0.3880)
O (0.9684, 0.6449, 0.1120)

Principal peaks in the range 2θ = 15–90°, by intensity:
d = 2.137 Å, 42.29°, I 100
d = 1.656 Å, 55.48°, I 91
d = 4.540 Å, 19.55°, I 76
d = 1.399 Å, 66.90°, I 50
d = 2.455 Å, 36.61°, I 40
d = 2.422 Å, 37.12°, I 34
d = 1.724 Å, 53.12°, I 29
d = 3.809 Å, 23.36°, I 25
d = 1.405 Å, 66.57°, I 22
d = 1.239 Å, 76.93°, I 13


(7)
# Zn
Simulated powder X-ray diffraction pattern, Cu Kα (weighted mean of Kα1 and Kα2). Input: a crystal structure in Alexandria, relaxed with GGA-PBE.
Neutral-atom scattering factors, no anomalous dispersion.

Atomic structure:
a b c (Å): 3.4922 2.9701 2.6031
angles (deg): 77.29 56.06 46.65
Positions (direct):
Zn (0.0000, 0.0000, 0.0000)

Principal peaks in the range 2θ = 15–90°, by intensity:
d = 2.079 Å, 43.53°, I 100
d = 2.668 Å, 33.58°, I 52
d = 2.253 Å, 40.02°, I 32
d = 1.721 Å, 53.21°, I 27
d = 1.397 Å, 66.97°, I 26
d = 1.264 Å, 75.13°, I 18
d = 1.172 Å, 82.28°, I 7
d = 1.148 Å, 84.37°, I 7
d = 1.129 Å, 86.15°, I 6
d = 1.334 Å, 70.59°, I 5


(8)
# Na8AlTe6
Simulated powder X-ray diffraction pattern, Cu Kα (weighted mean of Kα1 and Kα2). Input: a crystal structure in Alexandria, relaxed with GGA-PBE.
Neutral-atom scattering factors, no anomalous dispersion.

Atomic structure:
a b c (Å): 8.1253 9.3158 13.4250
angles (deg): 90.00 90.00 90.00
Positions (direct):
Na (0.0000, 0.1085, 0.0000)
Na (0.0000, 0.2446, 0.4283)
Na (0.2076, 0.5690, 0.7844)
Na (0.2205, 0.9425, 0.7671)
Na (0.2236, 0.7242, 0.1087)
Na (0.2764, 0.2758, 0.6087)
Na (0.2795, 0.0575, 0.2671)
Na (0.2924, 0.4310, 0.2844)
Na (0.5000, 0.7554, 0.9283)
Na (0.5000, 0.8915, 0.5000)
Na (0.7076, 0.4310, 0.2844)
Na (0.7205, 0.0575, 0.2671)
Na (0.7236, 0.2758, 0.6087)
Na (0.7764, 0.7242, 0.1087)
Na (0.7795, 0.9425, 0.7671)
Na (0.7924, 0.5690, 0.7844)
Al (0.0000, 0.7496, 0.4776)
Al (0.5000, 0.2504, 0.9776)
Te (0.0000, 0.2582, 0.2050)
Te (0.0000, 0.5110, 0.5844)
Te (0.0000, 0.7779, 0.9271)
Te (0.0000, 0.9937, 0.5786)
Te (0.2412, 0.7468, 0.3433)
Te (0.2588, 0.2532, 0.8433)
Te (0.5000, 0.0063, 0.0786)
Te (0.5000, 0.2221, 0.4271)
Te (0.5000, 0.4890, 0.0844)
Te (0.5000, 0.7418, 0.7050)
Te (0.7412, 0.2532, 0.8433)
Te (0.7588, 0.7468, 0.3433)

Principal peaks in the range 2θ = 15–90°, by intensity:
d = 3.870 Å, 22.98°, I 100
d = 3.588 Å, 24.81°, I 99
d = 2.262 Å, 39.85°, I 95
d = 3.827 Å, 23.24°, I 69
d = 2.426 Å, 37.05°, I 67
d = 3.476 Å, 25.63°, I 66
d = 3.920 Å, 22.68°, I 57
d = 4.524 Å, 19.62°, I 53
d = 2.031 Å, 44.61°, I 39
d = 4.034 Å, 22.04°, I 33


(9)
# Ac2LaCr2N6
Simulated powder X-ray diffraction pattern, Cu Kα (weighted mean of Kα1 and Kα2). Input: a crystal structure in Alexandria, relaxed with GGA-PBE.
Neutral-atom scattering factors, no anomalous dispersion.

Atomic structure:
a b c (Å): 7.2250 7.2250 7.2250
angles (deg): 47.13 47.13 47.13
Positions (direct):
Ac (0.2086, 0.2086, 0.2086)
Ac (0.7914, 0.7914, 0.7914)
La (0.0000, 0.0000, 0.0000)
Cr (0.4067, 0.4067, 0.4067)
Cr (0.5933, 0.5933, 0.5933)
N (0.2424, 0.7336, 0.7336)
N (0.2664, 0.2664, 0.7576)
N (0.2664, 0.7576, 0.2664)
N (0.7336, 0.2424, 0.7336)
N (0.7336, 0.7336, 0.2424)
N (0.7576, 0.2664, 0.2664)

Principal peaks in the range 2θ = 15–90°, by intensity:
d = 3.049 Å, 29.29°, I 100
d = 2.888 Å, 30.96°, I 87
d = 2.097 Å, 43.14°, I 39
d = 1.697 Å, 54.04°, I 36
d = 3.466 Å, 25.70°, I 21
d = 1.795 Å, 50.88°, I 20
d = 1.668 Å, 55.07°, I 17
d = 4.842 Å, 18.32°, I 16
d = 4.438 Å, 20.01°, I 16
d = 1.348 Å, 69.75°, I 15


(10)
# Pr3Sm2Sn3
Simulated powder X-ray diffraction pattern, Cu Kα (weighted mean of Kα1 and Kα2). Input: a crystal structure in Alexandria, relaxed with GGA-PBE.
Neutral-atom scattering factors, no anomalous dispersion.

Atomic structure:
a b c (Å): 9.3054 9.3054 6.8125
angles (deg): 90.00 90.00 120.00
Positions (direct):
Pr (0.0000, 0.2433, 0.2500)
Pr (0.0000, 0.7567, 0.7500)
Pr (0.2433, 0.0000, 0.2500)
Pr (0.2433, 0.2433, 0.7500)
Pr (0.7567, 0.0000, 0.7500)
Pr (0.7567, 0.7567, 0.2500)
Sm (0.3333, 0.6667, 0.0000)
Sm (0.3333, 0.6667, 0.5000)
Sm (0.6667, 0.3333, 0.0000)
Sm (0.6667, 0.3333, 0.5000)
Sn (0.0000, 0.3957, 0.7500)
Sn (0.0000, 0.6043, 0.2500)
Sn (0.3957, 0.0000, 0.7500)
Sn (0.3957, 0.3957, 0.2500)
Sn (0.6043, 0.0000, 0.2500)
Sn (0.6043, 0.6043, 0.7500)

Principal peaks in the range 2θ = 15–90°, by intensity:
d = 2.781 Å, 32.19°, I 100
d = 2.748 Å, 32.58°, I 83
d = 2.686 Å, 33.36°, I 43
d = 3.046 Å, 29.32°, I 33
d = 1.821 Å, 50.11°, I 29
d = 1.921 Å, 47.32°, I 20
d = 3.137 Å, 28.45°, I 18
d = 1.457 Å, 63.90°, I 18
d = 3.406 Å, 26.16°, I 17
d = 1.734 Å, 52.79°, I 14


(11)
# Y2TmIn2Ag2
Simulated powder X-ray diffraction pattern, Cu Kα (weighted mean of Kα1 and Kα2). Input: a crystal structure in Alexandria, relaxed with GGA-PBE.
Neutral-atom scattering factors, no anomalous dispersion.

Atomic structure:
a b c (Å): 9.4024 9.4024 9.4024
angles (deg): 29.65 29.65 29.65
Positions (direct):
Y (0.1256, 0.1256, 0.1256)
Y (0.8744, 0.8744, 0.8744)
Tm (0.0000, 0.0000, 0.0000)
In (0.2608, 0.2608, 0.2608)
In (0.7392, 0.7392, 0.7392)
Ag (0.3927, 0.3927, 0.3927)
Ag (0.6073, 0.6073, 0.6073)

Principal peaks in the range 2θ = 15–90°, by intensity:
d = 2.405 Å, 37.39°, I 100
d = 2.619 Å, 34.23°, I 93
d = 2.827 Å, 31.64°, I 40
d = 1.772 Å, 51.59°, I 28
d = 1.427 Å, 65.42°, I 27
d = 1.439 Å, 64.77°, I 27
d = 1.389 Å, 67.44°, I 17
d = 3.296 Å, 27.05°, I 12
d = 1.093 Å, 89.71°, I 12
d = 1.099 Å, 89.12°, I 12


(12)
# LiNi5
Simulated powder X-ray diffraction pattern, Cu Kα (weighted mean of Kα1 and Kα2). Input: a crystal structure in Alexandria, relaxed with GGA-PBE.
Neutral-atom scattering factors, no anomalous dispersion.

Atomic structure:
a b c (Å): 5.5665 5.5665 3.5012
angles (deg): 90.00 90.00 143.00
Positions (direct):
Li (0.0000, 0.0000, 0.0000)
Ni (0.1677, 0.8323, 0.5000)
Ni (0.3316, 0.6684, 0.0000)
Ni (0.5000, 0.5000, 0.5000)
Ni (0.6684, 0.3316, 0.0000)
Ni (0.8323, 0.1677, 0.5000)

Principal peaks in the range 2θ = 15–90°, by intensity:
d = 2.031 Å, 44.62°, I 100
d = 1.766 Å, 51.76°, I 16
d = 1.760 Å, 51.97°, I 15
d = 1.751 Å, 52.26°, I 15
d = 5.279 Å, 16.79°, I 12
d = 1.247 Å, 76.40°, I 9
d = 1.243 Å, 76.64°, I 9
d = 1.241 Å, 76.81°, I 9
d = 3.350 Å, 26.61°, I 7
d = 2.420 Å, 37.14°, I 5


(13)
# AcTb2Pr
Simulated powder X-ray diffraction pattern, Cu Kα (weighted mean of Kα1 and Kα2). Input: a crystal structure in Alexandria, relaxed with GGA-PBE.
Neutral-atom scattering factors, no anomalous dispersion.

Atomic structure:
a b c (Å): 3.7584 3.7584 10.1932
angles (deg): 90.00 90.00 90.00
Positions (direct):
Ac (0.0000, 0.0000, 0.0000)
Tb (0.5000, 0.5000, 0.2591)
Tb (0.5000, 0.5000, 0.7409)
Pr (0.0000, 0.0000, 0.5000)

Principal peaks in the range 2θ = 15–90°, by intensity:
d = 3.025 Å, 29.53°, I 100
d = 2.658 Å, 33.73°, I 36
d = 1.596 Å, 57.76°, I 31
d = 1.839 Å, 49.56°, I 24
d = 2.548 Å, 35.22°, I 15
d = 1.548 Å, 59.73°, I 13
d = 1.879 Å, 48.44°, I 13
d = 1.512 Å, 61.29°, I 13
d = 1.195 Å, 80.36°, I 11
d = 1.217 Å, 78.64°, I 6